DyB2Ir2: computed PXRD pattern (Cu Kα (λ = 1.5418 Å)), based on a DFT-relaxed cell (GGA-PBE, the Materials Project).

Structure:
```
data_DyB2Ir2
_chemical_formula_sum 'Dy16 B32 Ir32'
_cell_length_a 9.112
_cell_length_b 9.134
_cell_length_c 13.870
_cell_angle_alpha 90.00
_cell_angle_beta 90.00
_cell_angle_gamma 90.00
_space_group_name_H-M_alt 'F d d d'
_space_group_IT_number 70
loop_
_space_group_symop_operation_xyz
'x,y,z'
'-x,-y,-z'
'-x+1/4,-y+1/4,z'
'x+1/4,y+1/4,-z'
'x,-y+1/4,-z+1/4'
'-x,y+1/4,z+1/4'
'-x+1/4,y,-z+1/4'
'x+1/4,-y,z+1/4'
'x,y+1/2,z+1/2'
'-x,-y+1/2,-z+1/2'
'-x+1/4,-y+3/4,z+1/2'
'x+1/4,y+3/4,-z+1/2'
'x,-y+3/4,-z+3/4'
'-x,y+3/4,z+3/4'
'-x+1/4,y+1/2,-z+3/4'
'x+1/4,-y+1/2,z+3/4'
'x+1/2,y,z+1/2'
'-x+1/2,-y,-z+1/2'
'-x+3/4,-y+1/4,z+1/2'
'x+3/4,y+1/4,-z+1/2'
'x+1/2,-y+1/4,-z+3/4'
'-x+1/2,y+1/4,z+3/4'
'-x+3/4,y,-z+3/4'
'x+3/4,-y,z+3/4'
'x+1/2,y+1/2,z'
'-x+1/2,-y+1/2,-z'
'-x+3/4,-y+3/4,z'
'x+3/4,y+3/4,-z'
'x+1/2,-y+3/4,-z+1/4'
'-x+1/2,y+3/4,z+1/4'
'-x+3/4,y+1/2,-z+1/4'
'x+3/4,-y+1/2,z+1/4'
loop_
_atom_site_label
_atom_site_type_symbol
_atom_site_fract_x
_atom_site_fract_y
_atom_site_fract_z
_atom_site_occupancy
Dy1 Dy 0.000 0.000 0.000 1
B1 B 0.052 0.053 0.735 1
Ir1 Ir 0.020 0.019 0.405 1
```

Principal peaks in the range 2θ from 15° to 90°, by intensity:
d [Å], I_rel
2.925, 100
2.281, 80
2.548, 62
2.000, 51
2.447, 44
1.950, 27



DyB2Ir2: computed PXRD pattern (Cu Kα (λ = 1.5418 Å)), based on a DFT-relaxed cell (GGA-PBE, the Materials Project).

Structure:
```
data_DyB2Ir2
_chemical_formula_sum 'Dy8 B16 Ir16'
_cell_length_a 5.754
_cell_length_b 9.319
_cell_length_c 10.997
_cell_angle_alpha 90.00
_cell_angle_beta 90.00
_cell_angle_gamma 90.00
_space_group_name_H-M_alt 'F d d d'
_space_group_IT_number 70
loop_
_space_group_symop_operation_xyz
'x,y,z'
'-x,-y,-z'
'-x+1/4,-y+1/4,z'
'x+1/4,y+1/4,-z'
'x,-y+1/4,-z+1/4'
'-x,y+1/4,z+1/4'
'-x+1/4,y,-z+1/4'
'x+1/4,-y,z+1/4'
'x,y+1/2,z+1/2'
'-x,-y+1/2,-z+1/2'
'-x+1/4,-y+3/4,z+1/2'
'x+1/4,y+3/4,-z+1/2'
'x,-y+3/4,-z+3/4'
'-x,y+3/4,z+3/4'
'-x+1/4,y+1/2,-z+3/4'
'x+1/4,-y+1/2,z+3/4'
'x+1/2,y,z+1/2'
'-x+1/2,-y,-z+1/2'
'-x+3/4,-y+1/4,z+1/2'
'x+3/4,y+1/4,-z+1/2'
'x+1/2,-y+1/4,-z+3/4'
'-x+1/2,y+1/4,z+3/4'
'-x+3/4,y,-z+3/4'
'x+3/4,-y,z+3/4'
'x+1/2,y+1/2,z'
'-x+1/2,-y+1/2,-z'
'-x+3/4,-y+3/4,z'
'x+3/4,y+3/4,-z'
'x+1/2,-y+3/4,-z+1/4'
'-x+1/2,y+3/4,z+1/4'
'-x+3/4,y+1/2,-z+1/4'
'x+3/4,-y+1/2,z+1/4'
loop_
_atom_site_label
_atom_site_type_symbol
_atom_site_fract_x
_atom_site_fract_y
_atom_site_fract_z
_atom_site_occupancy
Dy1 Dy 0.125 0.125 0.125 1
B1 B 0.125 0.305 0.625 1
Ir1 Ir 0.125 0.125 0.498 1
```

Principal peaks in the range 2θ from 15° to 90°, by intensity:
d [Å], I_rel
2.934, 100
2.448, 93
2.191, 49
2.330, 42
2.006, 31
1.714, 21



DyB4Ir2Rh2: computed PXRD pattern (Cu Kα (λ = 1.5418 Å)), based on a DFT-relaxed cell (GGA-PBE, the Materials Project).

Structure:
```
data_DyB4Ir2Rh2
_chemical_formula_sum 'Dy2 B8 Ir4 Rh4'
_cell_length_a 5.380
_cell_length_b 5.380
_cell_length_c 7.473
_cell_angle_alpha 90.00
_cell_angle_beta 90.00
_cell_angle_gamma 90.00
_space_group_name_H-M_alt 'P 42 m c'
_space_group_IT_number 105
_space_group_name_Hall 'P 4c -2'
loop_
_atom_site_label
_atom_site_type_symbol
_atom_site_fract_x
_atom_site_fract_y
_atom_site_fract_z
_atom_site_occupancy
Dy1 Dy 0.000 0.500 0.000 1
B1 B 0.000 0.170 0.350 1
B2 B 0.329 0.500 0.656 1
Ir1 Ir 0.248 0.500 0.357 1
Rh1 Rh 0.000 0.251 0.646 1
```

Principal peaks in the range 2θ from 15° to 90°, by intensity:
d [Å], I_rel
2.531, 100
2.290, 92
2.260, 68
3.069, 55
2.023, 42
1.333, 32



DyB3Mo: computed PXRD pattern (Cu Kα (λ = 1.5418 Å)), based on a DFT-relaxed cell (GGA-PBE, the Materials Project).

Structure:
```
data_DyB3Mo
_chemical_formula_sum 'Dy2 B6 Mo2'
_cell_length_a 5.457
_cell_length_b 3.175
_cell_length_c 6.846
_cell_angle_alpha 90.00
_cell_angle_beta 102.14
_cell_angle_gamma 90.00
_space_group_name_H-M_alt 'P 1 21/m 1'
_space_group_IT_number 11
_space_group_name_Hall '-P 2yb'
loop_
_atom_site_label
_atom_site_type_symbol
_atom_site_fract_x
_atom_site_fract_y
_atom_site_fract_z
_atom_site_occupancy
Dy1 Dy 0.176 0.250 0.209 1
B1 B 0.084 0.750 0.494 1
B2 B 0.412 0.750 0.496 1
B3 B 0.420 0.750 0.976 1
Mo1 Mo 0.312 0.250 0.720 1
```

Principal peaks in the range 2θ from 15° to 90°, by intensity:
d [Å], I_rel
2.728, 100
2.235, 75
3.346, 73
2.011, 34
2.679, 31
1.576, 28



DyB7Mo3: computed PXRD pattern (Cu Kα (λ = 1.5418 Å)), based on a DFT-relaxed cell (GGA-PBE, the Materials Project).

Structure:
```
data_DyB7Mo3
_chemical_formula_sum 'Dy4 B28 Mo12'
_cell_length_a 11.021
_cell_length_b 3.110
_cell_length_c 12.910
_cell_angle_alpha 90.00
_cell_angle_beta 90.00
_cell_angle_gamma 90.00
_space_group_name_H-M_alt 'P n m a'
_space_group_IT_number 62
_space_group_name_Hall '-P 2ac 2n'
loop_
_atom_site_label
_atom_site_type_symbol
_atom_site_fract_x
_atom_site_fract_y
_atom_site_fract_z
_atom_site_occupancy
Dy1 Dy 0.051 0.250 0.192 1
B1 B 0.011 0.750 0.363 1
B2 B 0.037 0.750 0.018 1
B3 B 0.068 0.750 0.616 1
B4 B 0.166 0.750 0.333 1
B5 B 0.187 0.750 0.067 1
B6 B 0.230 0.750 0.582 1
B7 B 0.249 0.750 0.826 1
Mo1 Mo 0.118 0.250 0.473 1
Mo2 Mo 0.160 0.250 0.936 1
Mo3 Mo 0.185 0.250 0.702 1
```

Principal peaks in the range 2θ from 15° to 90°, by intensity:
d [Å], I_rel
2.709, 100
2.195, 85
3.097, 64
2.651, 61
2.695, 57
2.078, 51



DyB4Mo: computed PXRD pattern (Cu Kα (λ = 1.5418 Å)), based on a DFT-relaxed cell (GGA-PBE, the Materials Project).

Structure:
```
data_DyB4Mo
_chemical_formula_sum 'Dy4 B16 Mo4'
_cell_length_a 6.030
_cell_length_b 11.654
_cell_length_c 3.625
_cell_angle_alpha 90.00
_cell_angle_beta 90.00
_cell_angle_gamma 90.00
_space_group_name_H-M_alt 'P b a m'
_space_group_IT_number 55
_space_group_name_Hall '-P 2 2ab'
loop_
_atom_site_label
_atom_site_type_symbol
_atom_site_fract_x
_atom_site_fract_y
_atom_site_fract_z
_atom_site_occupancy
Dy1 Dy 0.127 0.150 0.000 1
B1 B 0.023 0.694 0.500 1
B2 B 0.114 0.548 0.500 1
B3 B 0.133 0.968 0.500 1
B4 B 0.213 0.814 0.500 1
Mo1 Mo 0.130 0.416 0.000 1
```

Principal peaks in the range 2θ from 15° to 90°, by intensity:
d [Å], I_rel
2.273, 100
3.625, 81
2.917, 81
1.991, 30
2.426, 28
2.125, 28



Dy3B7Mo: computed PXRD pattern (Cu Kα (λ = 1.5418 Å)), based on a DFT-relaxed cell (GGA-PBE, the Materials Project).

Structure:
```
data_Dy3B7Mo
_chemical_formula_sum 'Dy12 B28 Mo4'
_cell_length_a 3.480
_cell_length_b 16.003
_cell_length_c 9.478
_cell_angle_alpha 90.00
_cell_angle_beta 90.00
_cell_angle_gamma 90.00
_space_group_name_H-M_alt 'C m c m'
_space_group_IT_number 63
_space_group_name_Hall '-C 2c 2'
loop_
_atom_site_label
_atom_site_type_symbol
_atom_site_fract_x
_atom_site_fract_y
_atom_site_fract_z
_atom_site_occupancy
Dy1 Dy 0.000 0.107 0.060 1
Dy2 Dy 0.000 0.243 0.750 1
B1 B 0.000 0.273 0.033 1
B2 B 0.000 0.366 0.147 1
B3 B 0.000 0.456 0.750 1
B4 B 0.000 0.480 0.092 1
Mo1 Mo 0.000 0.053 0.750 1
```

Principal peaks in the range 2θ from 15° to 90°, by intensity:
d [Å], I_rel
2.315, 100
3.057, 96
3.400, 90
2.939, 74
2.286, 53
2.667, 38



DyNi12B6: computed PXRD pattern (Cu Kα (λ = 1.5418 Å)), based on a DFT-relaxed cell (GGA-PBE, the Materials Project).

Structure:
```
data_DyNi12B6
_chemical_formula_sum 'Dy3 Ni36 B18'
_cell_length_a 9.4823
_cell_length_b 9.4823
_cell_length_c 7.3916
_cell_angle_alpha 90.00
_cell_angle_beta 90.00
_cell_angle_gamma 120.00
_space_group_name_H-M_alt 'R -3 m'
_space_group_IT_number 166
_space_group_name_Hall '-R 3 2"'
loop_
_atom_site_label
_atom_site_type_symbol
_atom_site_fract_x
_atom_site_fract_y
_atom_site_fract_z
_atom_site_occupancy
Dy1 Dy 0.0000 0.0000 0.0000 1
Ni1 Ni 0.0000 0.3695 0.5000 1
Ni2 Ni 0.0886 0.1771 0.3650 1
B1 B 0.0445 0.5222 0.2885 1
```

Principal peaks in the range 2θ from 15° to 90°, by intensity:
d [Å], I_rel
2.177, 100
2.186, 57
2.747, 39
2.737, 31
1.939, 22
1.831, 20